This entry pairs a crystal structure of Pr2Mn2Pt15 with its calculated X-ray powder pattern. Radiation: CuKα. Structure: a crystal structure in Alexandria, relaxed with PBE.

Top 12 peaks for 10 to 90 degrees two-theta, sorted by position:
two_theta  I_rel
19.1  45
33.5  17
38.8  37
39.1  100
39.9  41
43.9  81
44.6  17
56.9  19
63.6  21
70.3  22
71.9  18
84.0  23

Crystal structure
abc: 7.0105 7.0105 7.0105
angles: 82.86 82.86 82.86
Positions (direct):
Pr 0.1557 0.1557 0.1557
Pr 0.8443 0.8443 0.8443
Mn 0.4017 0.4017 0.4017
Mn 0.5983 0.5983 0.5983
Pt 0.0000 0.5000 0.5000
Pt 0.1568 0.1568 0.6558
Pt 0.1568 0.6558 0.1568
Pt 0.1920 0.5000 0.8080
Pt 0.1920 0.8080 0.5000
Pt 0.3442 0.8432 0.8432
Pt 0.5000 0.0000 0.5000
Pt 0.5000 0.1920 0.8080
Pt 0.5000 0.5000 0.0000
Pt 0.5000 0.8080 0.1920
Pt 0.6558 0.1568 0.1568
Pt 0.8080 0.1920 0.5000
Pt 0.8080 0.5000 0.1920
Pt 0.8432 0.3442 0.8432
Pt 0.8432 0.8432 0.3442